(1)
Diffraction record for Cs2CaH. The powder diffractogram is theoretical, not measured: it uses DFT lattice parameters and positions (PBE) and copper Kα.
Peak positions follow from Bragg's law for the DFT cell and can differ from measured ones.

The 10 most intense peaks (2θ = 10–90°), most intense first:
2θ/deg, d (Å), I (rel.)
23.2, 3.831, 100
26.2, 3.403, 96
23.6, 3.765, 50
23.5, 3.789, 49
19.1, 4.657, 45
18.8, 4.710, 37
19.3, 4.611, 33
38.7, 2.329, 28
32.5, 2.754, 25
32.7, 2.741, 24

Cell lengths 4.7584, 4.8681, 9.8919 Å; angles 104.01, 103.54, 90.01 degrees
Sites, in units of the cell vectors:
1 Cs 0.1353 0.1359 0.2764
2 Cs 0.8647 0.8641 0.7236
3 Ca 0.5000 0.5000 0.0000
4 H 0.5000 0.0000 0.0000

=====

(2)
Diffraction record for CsCaHf2. The powder diffractogram is theoretical, not measured: it uses DFT lattice parameters and positions (PBE) and copper Kα.
Peak positions follow from Bragg's law for the DFT cell and can differ from measured ones.

The 10 most intense peaks (2θ = 10–90°), most intense first:
2θ/deg, d (Å), I (rel.)
32.0, 2.800, 100
57.0, 1.616, 38
45.8, 1.980, 18
76.0, 1.252, 16
22.5, 3.959, 14
66.8, 1.400, 12
51.6, 1.771, 7
19.4, 4.572, 6
39.4, 2.286, 5
84.8, 1.143, 4

Cell lengths 7.9182, 7.9182, 7.9182 Å; angles 90.00, 90.00, 90.00 degrees
Sites, in units of the cell vectors:
1 Cs 0.0000 0.0000 0.0000
2 Cs 0.0000 0.5000 0.5000
3 Cs 0.5000 0.0000 0.5000
4 Cs 0.5000 0.5000 0.0000
5 Ca 0.0000 0.0000 0.5000
6 Ca 0.0000 0.5000 0.0000
7 Ca 0.5000 0.0000 0.0000
8 Ca 0.5000 0.5000 0.5000
9 Hf 0.2500 0.2500 0.2500
10 Hf 0.2500 0.2500 0.7500
11 Hf 0.2500 0.7500 0.2500
12 Hf 0.2500 0.7500 0.7500
13 Hf 0.7500 0.2500 0.2500
14 Hf 0.7500 0.2500 0.7500
15 Hf 0.7500 0.7500 0.2500
16 Hf 0.7500 0.7500 0.7500

=====

(3)
Diffraction record for Cs2CaI7. The powder diffractogram is theoretical, not measured: it uses DFT lattice parameters and positions (PBE) and copper Kα.
Peak positions follow from Bragg's law for the DFT cell and can differ from measured ones.

The 10 most intense peaks (2θ = 10–90°), most intense first:
2θ/deg, d (Å), I (rel.)
23.9, 3.729, 100
28.7, 3.109, 65
38.6, 2.330, 49
25.3, 3.519, 38
48.0, 1.894, 30
41.1, 2.198, 29
48.8, 1.865, 25
73.2, 1.293, 15
43.7, 2.070, 13
67.3, 1.390, 13

Cell lengths 9.3915, 9.3915, 9.3915 Å; angles 124.16, 124.16, 82.93 degrees
Sites, in units of the cell vectors:
1 Cs 0.2500 0.7500 0.5000
2 Cs 0.7500 0.2500 0.5000
3 Ca 0.0000 0.0000 0.0000
4 I 0.2158 0.2158 0.0000
5 I 0.2528 0.2528 0.5056
6 I 0.2528 0.7472 0.0000
7 I 0.5000 0.5000 0.0000
8 I 0.7472 0.2528 0.0000
9 I 0.7472 0.7472 0.4944
10 I 0.7842 0.7842 0.0000

=====

(4)
Diffraction record for Cs3Ca2I6. The powder diffractogram is theoretical, not measured: it uses DFT lattice parameters and positions (PBE) and copper Kα.
Peak positions follow from Bragg's law for the DFT cell and can differ from measured ones.

The 10 most intense peaks (2θ = 10–90°), most intense first:
2θ/deg, d (Å), I (rel.)
27.3, 3.263, 100
28.5, 3.135, 76
21.0, 4.240, 44
49.7, 1.833, 38
40.7, 2.217, 29
47.6, 1.911, 21
38.0, 2.368, 19
24.6, 3.614, 15
25.8, 3.449, 15
42.5, 2.125, 15

Cell lengths 15.1212, 15.1212, 15.1212 Å; angles 156.07, 156.07, 34.10 degrees
Sites, in units of the cell vectors:
1 Cs 0.0000 0.0000 0.0000
2 Cs 0.1778 0.1778 0.0000
3 Cs 0.8222 0.8222 0.0000
4 Ca 0.4189 0.4189 0.0000
5 Ca 0.5811 0.5811 0.0000
6 I 0.0834 0.5834 0.5000
7 I 0.3100 0.3100 0.0000
8 I 0.4166 0.9166 0.5000
9 I 0.5834 0.0834 0.5000
10 I 0.6900 0.6900 0.0000
11 I 0.9166 0.4166 0.5000

=====

(5)
Diffraction record for Cs3Li2CaI6. The powder diffractogram is theoretical, not measured: it uses DFT lattice parameters and positions (PBE) and copper Kα.
Peak positions follow from Bragg's law for the DFT cell and can differ from measured ones.

The 10 most intense peaks (2θ = 10–90°), most intense first:
2θ/deg, d (Å), I (rel.)
25.4, 3.513, 100
29.9, 2.990, 64
41.6, 2.170, 27
50.4, 1.812, 21
43.9, 2.063, 20
27.1, 3.291, 20
49.4, 1.846, 16
52.1, 1.756, 13
66.5, 1.406, 13
11.8, 7.517, 12

Cell lengths 8.6800, 8.6800, 9.8726 Å; angles 90.00, 90.00, 120.00 degrees
Sites, in units of the cell vectors:
1 Cs 0.0000 0.0000 0.0000
2 Cs 0.3333 0.6667 0.6425
3 Cs 0.6667 0.3333 0.3575
4 Li 0.3333 0.6667 0.2023
5 Li 0.6667 0.3333 0.7977
6 Ca 0.0000 0.0000 0.5000
7 I 0.1663 0.3326 0.3083
8 I 0.1663 0.8337 0.3083
9 I 0.3326 0.1663 0.6917
10 I 0.6674 0.8337 0.3083
11 I 0.8337 0.1663 0.6917
12 I 0.8337 0.6674 0.6917

=====

(6)
Diffraction record for Cs3CaMg2I9. The powder diffractogram is theoretical, not measured: it uses DFT lattice parameters and positions (PBE) and copper Kα.
Peak positions follow from Bragg's law for the DFT cell and can differ from measured ones.

The 10 most intense peaks (2θ = 10–90°), most intense first:
2θ/deg, d (Å), I (rel.)
25.7, 3.472, 100
29.7, 3.007, 66
42.5, 2.126, 48
50.3, 1.813, 46
70.0, 1.345, 21
68.0, 1.379, 18
52.7, 1.736, 17
77.8, 1.228, 12
83.5, 1.157, 9
61.7, 1.503, 8

Cell lengths 8.5001, 8.5001, 10.4240 Å; angles 90.00, 90.00, 120.00 degrees
Sites, in units of the cell vectors:
1 Cs 0.0000 0.0000 0.0000
2 Cs 0.3333 0.6667 0.6700
3 Cs 0.6667 0.3333 0.3300
4 Ca 0.0000 0.0000 0.5000
5 Mg 0.3333 0.6667 0.1615
6 Mg 0.6667 0.3333 0.8385
7 I 0.0000 0.5000 0.0000
8 I 0.1716 0.3433 0.3258
9 I 0.1716 0.8284 0.3258
10 I 0.3433 0.1716 0.6742
11 I 0.5000 0.0000 0.0000
12 I 0.5000 0.5000 0.0000
13 I 0.6567 0.8284 0.3258
14 I 0.8284 0.1716 0.6742
15 I 0.8284 0.6567 0.6742